Starting from DFT lattice parameters and positions (PBE), the X-ray powder pattern of LiTbSe2 was simulated for copper Kα.

Largest 8 diffraction maxima, in order of rising 2θ, 10 to 80 degrees two-theta:
- 2θ 17.30, I = 960
- 2θ 27.90, I = 276
- 2θ 30.91, I = 515
- 2θ 31.28, I = 1000
- 2θ 35.96, I = 315
- 2θ 44.56, I = 747
- 2θ 44.83, I = 368
- 2θ 55.45, I = 390

Cell and atoms:
Cell: 7.058 7.058 7.058 Å, 132.21 132.21 69.90°
Fractional coordinates of all 8 atoms:
Li 0.375 0.625 0.750
Li 0.625 0.375 0.250
Tb 0.125 0.875 0.250
Tb 0.875 0.125 0.750
Se 0.123 0.373 0.750
Se 0.373 0.123 0.250
Se 0.627 0.877 0.750
Se 0.877 0.627 0.250